Theoretical X-ray powder pattern of Cs2LaSe2Br2 for Cu Kα X-rays, from a structure optimized by DFT (PBE).
Kinematic intensities with the Lorentz-polarization factor, no thermal factor.

Peak list (10 most intense, 5° ≤ 2θ ≤ 70°, low angle first)
2θ/deg, I (rel.)
9.43, 40.1
20.96, 44.4
21.80, 75.7
28.39, 29.3
28.56, 47.3
29.03, 57.4
31.03, 100.0
42.67, 62.4
44.45, 36.4
53.69, 31.5

Crystal structure
a b c (Å): 10.223 10.223 10.223
angles (deg): 147.25 147.25 46.99
Fractional positions:
Cs (0.144, 0.144, 0.000)
Cs (0.856, 0.856, 0.000)
La (0.500, 0.500, 0.000)
Se (0.000, 0.500, 0.500)
Se (0.500, 0.000, 0.500)
Br (0.338, 0.338, 0.000)
Br (0.662, 0.662, 0.000)



Theoretical X-ray powder pattern of Zr5Co2Ni for Cu Kα X-rays, from a structure optimized by DFT (PBE).
Kinematic intensities with the Lorentz-polarization factor, no thermal factor.

Peak list (10 most intense, 5° ≤ 2θ ≤ 70°, low angle first)
2θ/deg, I (rel.)
32.64, 16.4
36.49, 100.0
38.12, 32.8
38.87, 11.0
39.72, 15.8
43.67, 39.3
56.80, 7.9
60.50, 10.1
61.84, 13.1
66.46, 9.8

Crystal structure
a b c (Å): 8.236 8.236 8.236
angles (deg): 133.11 133.11 68.49
Fractional positions:
Zr (0.000, 0.000, 0.000)
Zr (0.018, 0.518, 0.836)
Zr (0.182, 0.018, 0.500)
Zr (0.318, 0.818, 0.836)
Zr (0.482, 0.318, 0.500)
Zr (0.500, 0.500, 0.000)
Zr (0.518, 0.682, 0.500)
Zr (0.682, 0.182, 0.164)
Zr (0.818, 0.982, 0.500)
Zr (0.982, 0.482, 0.164)
Co (0.131, 0.369, 0.500)
Co (0.369, 0.869, 0.239)
Co (0.631, 0.131, 0.761)
Co (0.869, 0.631, 0.500)
Ni (0.250, 0.250, 0.000)
Ni (0.750, 0.750, 0.000)



Theoretical X-ray powder pattern of SrInSb2 for Cu Kα X-rays, from a structure optimized by DFT (PBE).
Kinematic intensities with the Lorentz-polarization factor, no thermal factor.

Peak list (10 most intense, 5° ≤ 2θ ≤ 70°, low angle first)
2θ/deg, I (rel.)
24.62, 23.3
30.87, 100.0
32.93, 8.6
37.15, 39.8
37.95, 10.8
42.46, 14.0
45.08, 9.7
50.48, 10.0
53.56, 13.5
63.10, 24.5

Crystal structure
a b c (Å): 4.840 4.840 10.879
angles (deg): 90.00 90.00 90.00
Fractional positions:
Sr (0.250, 0.250, 0.220)
Sr (0.750, 0.750, 0.780)
In (0.250, 0.750, 0.500)
In (0.750, 0.250, 0.500)
Sb (0.250, 0.250, 0.670)
Sb (0.250, 0.750, 0.000)
Sb (0.750, 0.250, 0.000)
Sb (0.750, 0.750, 0.330)



Theoretical X-ray powder pattern of GeSbPb for Cu Kα X-rays, from a structure optimized by DFT (PBE).
Kinematic intensities with the Lorentz-polarization factor, no thermal factor.

Peak list (10 most intense, 5° ≤ 2θ ≤ 70°, low angle first)
2θ/deg, I (rel.)
21.40, 24.7
29.10, 30.1
31.13, 100.0
32.34, 40.7
33.01, 22.2
36.41, 47.3
38.10, 56.8
45.51, 34.5
52.88, 24.0
63.38, 22.7

Crystal structure
a b c (Å): 9.001 9.001 9.001
angles (deg): 159.20 140.13 45.38
Fractional positions:
Ge (0.217, 0.000, 0.217)
Ge (0.783, 0.000, 0.783)
Sb (0.360, 0.860, 0.500)
Sb (0.640, 0.140, 0.500)
Pb (0.162, 0.662, 0.500)
Pb (0.838, 0.338, 0.500)



Theoretical X-ray powder pattern of KAl for Cu Kα X-rays, from a structure optimized by DFT (PBE).
Kinematic intensities with the Lorentz-polarization factor, no thermal factor.

Peak list (7 most intense, 5° ≤ 2θ ≤ 70°, low angle first)
2θ/deg, I (rel.)
20.05, 5.1
33.04, 100.0
38.95, 2.3
47.42, 16.5
51.97, 0.7
59.00, 32.7
69.31, 9.8

Crystal structure
a b c (Å): 5.423 5.423 5.423
angles (deg): 60.00 60.00 60.00
Fractional positions:
K (0.125, 0.125, 0.125)
K (0.875, 0.875, 0.875)
Al (0.375, 0.375, 0.375)
Al (0.625, 0.625, 0.625)



Theoretical X-ray powder pattern of Th15Tl4Pb for Cu Kα X-rays, from a structure optimized by DFT (PBE).
Kinematic intensities with the Lorentz-polarization factor, no thermal factor.

Peak list (8 most intense, 5° ≤ 2θ ≤ 70°, low angle first)
2θ/deg, I (rel.)
31.20, 100.0
36.11, 34.1
36.31, 16.8
51.99, 12.3
52.14, 24.5
61.89, 29.6
62.16, 14.6
65.07, 12.8

Crystal structure
a b c (Å): 4.975 4.975 24.742
angles (deg): 90.00 90.00 90.00
Fractional positions:
Th (0.000, 0.000, 0.000)
Th (0.000, 0.000, 0.201)
Th (0.000, 0.000, 0.400)
Th (0.000, 0.000, 0.600)
Th (0.000, 0.000, 0.799)
Th (0.000, 0.500, 0.101)
Th (0.000, 0.500, 0.300)
Th (0.000, 0.500, 0.500)
Th (0.000, 0.500, 0.700)
Th (0.000, 0.500, 0.899)
Th (0.500, 0.000, 0.101)
Th (0.500, 0.000, 0.300)
Th (0.500, 0.000, 0.500)
Th (0.500, 0.000, 0.700)
Th (0.500, 0.000, 0.899)
Tl (0.500, 0.500, 0.200)
Tl (0.500, 0.500, 0.400)
Tl (0.500, 0.500, 0.600)
Tl (0.500, 0.500, 0.800)
Pb (0.500, 0.500, 0.000)



Copy entry 3 word for word.
Theoretical X-ray powder pattern of SrInSb2 for Cu Kα X-rays, from a structure optimized by DFT (PBE).
Kinematic intensities with the Lorentz-polarization factor, no thermal factor.

Peak list (10 most intense, 5° ≤ 2θ ≤ 70°, low angle first)
2θ/deg, I (rel.)
24.62, 23.3
30.87, 100.0
32.93, 8.6
37.15, 39.8
37.95, 10.8
42.46, 14.0
45.08, 9.7
50.48, 10.0
53.56, 13.5
63.10, 24.5

Crystal structure
a b c (Å): 4.840 4.840 10.879
angles (deg): 90.00 90.00 90.00
Fractional positions:
Sr (0.250, 0.250, 0.220)
Sr (0.750, 0.750, 0.780)
In (0.250, 0.750, 0.500)
In (0.750, 0.250, 0.500)
Sb (0.250, 0.250, 0.670)
Sb (0.250, 0.750, 0.000)
Sb (0.750, 0.250, 0.000)
Sb (0.750, 0.750, 0.330)



What did the first record say?
Theoretical X-ray powder pattern of Cs2LaSe2Br2 for Cu Kα X-rays, from a structure optimized by DFT (PBE).
Kinematic intensities with the Lorentz-polarization factor, no thermal factor.

Peak list (10 most intense, 5° ≤ 2θ ≤ 70°, low angle first)
2θ/deg, I (rel.)
9.43, 40.1
20.96, 44.4
21.80, 75.7
28.39, 29.3
28.56, 47.3
29.03, 57.4
31.03, 100.0
42.67, 62.4
44.45, 36.4
53.69, 31.5

Crystal structure
a b c (Å): 10.223 10.223 10.223
angles (deg): 147.25 147.25 46.99
Fractional positions:
Cs (0.144, 0.144, 0.000)
Cs (0.856, 0.856, 0.000)
La (0.500, 0.500, 0.000)
Se (0.000, 0.500, 0.500)
Se (0.500, 0.000, 0.500)
Br (0.338, 0.338, 0.000)
Br (0.662, 0.662, 0.000)



Repeat the fifth record exactly.
Theoretical X-ray powder pattern of KAl for Cu Kα X-rays, from a structure optimized by DFT (PBE).
Kinematic intensities with the Lorentz-polarization factor, no thermal factor.

Peak list (7 most intense, 5° ≤ 2θ ≤ 70°, low angle first)
2θ/deg, I (rel.)
20.05, 5.1
33.04, 100.0
38.95, 2.3
47.42, 16.5
51.97, 0.7
59.00, 32.7
69.31, 9.8

Crystal structure
a b c (Å): 5.423 5.423 5.423
angles (deg): 60.00 60.00 60.00
Fractional positions:
K (0.125, 0.125, 0.125)
K (0.875, 0.875, 0.875)
Al (0.375, 0.375, 0.375)
Al (0.625, 0.625, 0.625)